Diffraction record for Mg2Pd5Au2. The powder X-ray diffraction pattern is theoretical, not measured: it uses a cell relaxed with GGA-PBE and copper Kα.

Principal peaks in the range 10 to 90 degrees two-theta, low angle first:
23.4°, d 3.804, rel. 31
24.4°, d 3.641, rel. 13
38.5°, d 2.336, rel. 100
39.0°, d 2.308, rel. 93
44.9°, d 2.020, rel. 31
45.0°, d 2.014, rel. 31
45.4°, d 1.998, rel. 30
65.8°, d 1.419, rel. 19
78.9°, d 1.213, rel. 17
79.1°, d 1.211, rel. 17

```
Mg2Pd5Au2
1.0
4.0285 0.0000 0.0000
-0.0073 6.2926 0.0000
-2.0053 -1.8454 5.7743
Mg Pd Au
2 5 2
direct
0.1243 0.1853 0.2480
0.8757 0.8147 0.7520
0.0000 0.5000 0.0000
0.2216 0.8305 0.4429
0.3352 0.5020 0.6708
0.6648 0.4980 0.3292
0.7784 0.1695 0.5571
0.4426 0.1633 0.8866
0.5574 0.8367 0.1134
```